Pm7Nd6Tm16: theoretical powder diffraction line list (Cu Kα (weighted mean of Kα1 and Kα2)), based on a structure optimized by DFT (GGA-PBE).

The 8 most intense peaks (10° ≤ 2θ ≤ 90°), low angle first:
2θ/deg	I (rel.)	(hkl)
25.16	7	4 2 0
29.32	8	3 3 3
31.98	100	4 4 0
33.98	7	6 0 0
45.86	14	8 0 0
57.00	26	8 4 4
66.87	7	8 8 0
76.06	7	12 4 0

a = 15.8291 Å, b = 15.8291 Å, c = 15.8291 Å
α = 90.00°, β = 90.00°, γ = 90.00°
Space group Fm-3m (No. 225)
Inequivalent atoms, fractional coordinates:
Pm 0.0000 0.0000 0.0000 x4
Pm 0.0000 0.2500 0.2500 x24
Nd 0.0000 0.0000 0.2643 x24
Tm 0.1292 0.1292 0.1292 x32
Tm 0.1510 0.1510 0.3490 x32


Pm12Nd2Tm: theoretical powder diffraction line list (Cu Kα (weighted mean of Kα1 and Kα2)), based on a structure optimized by DFT (GGA-PBE).

The 8 most intense peaks (10° ≤ 2θ ≤ 90°), low angle first:
2θ/deg	I (rel.)	(hkl)
28.08	42	2 0 2
29.18	30	2 0 3
30.66	37	2 0 4
31.28	100	1 1 7
31.72	32	0 0 9
33.63	26	2 1 4
38.79	31	2 2 0
54.91	26	3 1 9

a = 6.5656 Å, b = 6.5656 Å, c = 25.3896 Å
α = 90.00°, β = 90.00°, γ = 90.00°
Space group P4/nbm (No. 125, origin choice 2)
Inequivalent atoms, fractional coordinates:
Pm 0.0642 0.5642 0.1128 x8
Pm 0.0826 0.5826 0.5620 x8
Pm 0.2500 0.2500 0.2139 x4
Pm 0.2500 0.2500 0.3375 x4
Nd 0.2500 0.7500 0.2668 x4
Tm 0.2500 0.7500 0.0000 x2


PmNd2Tm7: theoretical powder diffraction line list (Cu Kα (weighted mean of Kα1 and Kα2)), based on a structure optimized by DFT (GGA-PBE).

The 8 most intense peaks (10° ≤ 2θ ≤ 90°), low angle first:
2θ/deg	I (rel.)	(hkl)
30.92	100	2 0 1
30.95	33	2 0 1
35.76	45	1 0 3
36.06	22	2 2 0
51.68	24	1 4 1
61.20	19	0 4 3
61.33	19	3 0 4
61.67	19	4 2 1

a = 6.1150 Å, b = 7.0757 Å, c = 7.9361 Å
α = 76.95°, β = 75.08°, γ = 73.65°
Space group P-1 (No. 2)
Inequivalent atoms, fractional coordinates:
Pm 0.0000 0.0000 0.0000 x1
Nd 0.2031 0.7967 0.5998 x2
Tm 0.0000 0.5000 0.0000 x1
Tm 0.1985 0.3009 0.6012 x2
Tm 0.3995 0.1011 0.1986 x2
Tm 0.4007 0.5993 0.1979 x2


Pm4Nd11Tm9: theoretical powder diffraction line list (Cu Kα (weighted mean of Kα1 and Kα2)), based on a structure optimized by DFT (GGA-PBE).

The 8 most intense peaks (10° ≤ 2θ ≤ 90°), low angle first:
2θ/deg	I (rel.)	(hkl)
29.77	100	4 6 0
30.73	23	3 3 1
31.98	89	0 6 1
32.14	70	4 0 1
49.20	19	0 0 2
58.57	25	4 6 2
59.90	14	1 15 1
62.09	17	10 4 1

a = 16.9014 Å, b = 25.5905 Å, c = 3.7040 Å
α = 90.00°, β = 90.00°, γ = 90.00°
Space group Cmmm (No. 65)
Inequivalent atoms, fractional coordinates:
Pm 0.1558 0.1006 0.0000 x8
Nd 0.0000 0.1333 0.5000 x4
Nd 0.0000 0.3400 0.5000 x4
Nd 0.0000 0.5000 0.5000 x2
Nd 0.2106 0.0000 0.5000 x4
Nd 0.2247 0.3189 0.5000 x8
Tm 0.0000 0.0000 0.0000 x2
Tm 0.1012 0.2345 0.0000 x8
Tm 0.1382 0.4269 0.0000 x8